For Ac2CdPb5, a PBE-relaxed structure gives the calculated powder XRD pattern in this record (Cu Kα X-rays).
Kinematic intensities with the Lorentz-polarization factor, no thermal factor.

Cell and atoms:
```
data_Ac2CdPb5
_chemical_formula_sum 'Ac4 Cd2 Pb10'
_cell_length_a 7.0934
_cell_length_b 14.1457
_cell_length_c 5.0644
_cell_angle_alpha 90.00
_cell_angle_beta 90.00
_cell_angle_gamma 90.00
_space_group_name_H-M_alt 'P b a m'
_space_group_IT_number 55
loop_
_space_group_symop_operation_xyz
'x,y,z'
'-x,-y,-z'
'-x,-y,z'
'x,y,-z'
'x+1/2,-y+1/2,-z'
'-x+1/2,y+1/2,z'
'-x+1/2,y+1/2,-z'
'x+1/2,-y+1/2,z'
loop_
_atom_site_label
_atom_site_type_symbol
_atom_site_fract_x
_atom_site_fract_y
_atom_site_fract_z
Ac1 Ac 0.2412 0.1282 0.0000
Cd1 Cd 0.0000 0.5000 0.5000
Pb1 Pb 0.0000 0.0000 0.5000
Pb2 Pb 0.0063 0.7472 0.5000
Pb3 Pb 0.2397 0.3792 0.0000
```

The 10 most intense peaks (10 to 80 degrees two-theta), by angle:
2theta  I/Imax  index
30.81  1000  0 4 1
35.45  175  0 0 2
35.86  334  2 4 0
51.31  245  2 4 2
51.70  59  0 8 0
60.78  150  0 4 3
61.27  141  4 4 1
61.38  142  2 8 1
64.11  62  4 0 2
64.25  63  0 8 2